(1)
Diffraction record for Tl2ZnTe. The PXRD pattern is calculated, not measured: it uses a cell relaxed with GGA-PBE and λ = 1.5418 Å (Cu Kα).
Intensities are scaled so that the largest is 100.

Crystal structure
```
4
Lattice="4.389 0.000 0.000 0.000 4.174 0.000 -2.141 0.000 6.560" Properties=species:S:1:pos:R:3 pbc="T T T"
Tl 0.000 0.000 0.000
Tl 0.045 2.087 4.361
Zn 2.253 0.000 3.365
Te 2.197 2.087 1.572
```

Top 6 peaks for 10 to 90 degrees two-theta, by intensity:
- 2θ 30.33, I 100
- 2θ 34.79, I 53
- 2θ 28.94, I 35
- 2θ 28.70, I 35
- 2θ 25.29, I 22
- 2θ 41.13, I 22


(2)
Diffraction record for AcCuSn2Pd5. The PXRD pattern is calculated, not measured: it uses a cell relaxed with GGA-PBE and λ = 1.5418 Å (Cu Kα).
Intensities are scaled so that the largest is 100.

Crystal structure
```
9
Lattice="5.073 0.000 0.000 0.000 5.073 0.000 0.000 0.000 7.738" Properties=species:S:1:pos:R:3 pbc="T T T"
Ac 0.000 0.000 0.000
Cu 0.000 0.000 3.869
Sn 2.537 2.537 2.503
Sn 2.537 2.537 5.234
Pd 0.000 2.537 2.423
Pd 0.000 2.537 5.315
Pd 2.537 0.000 2.423
Pd 2.537 0.000 5.315
Pd 2.537 2.537 0.000
```

Top 6 peaks for 10 to 90 degrees two-theta, by intensity:
- 2θ 35.38, I 100
- 2θ 34.08, I 59
- 2θ 50.46, I 56
- 2θ 34.78, I 37
- 2θ 50.91, I 35
- 2θ 27.40, I 34


(3)
Diffraction record for Er3BS2. The PXRD pattern is calculated, not measured: it uses a cell relaxed with GGA-PBE and λ = 1.5418 Å (Cu Kα).
Intensities are scaled so that the largest is 100.

Crystal structure
```
24
Lattice="0.000 5.444 11.457 3.873 0.000 11.457 3.873 5.444 0.000" Properties=species:S:1:pos:R:3 pbc="T T T"
Er 2.820 1.230 6.577
Er 5.036 4.083 8.593
Er 2.990 1.230 10.608
Er 4.927 3.952 12.306
Er 6.973 6.804 14.321
Er 4.757 3.952 16.337
Er 2.990 6.935 6.577
Er 0.774 4.083 8.593
Er 2.820 6.935 10.608
Er 4.757 9.657 12.306
Er 2.710 6.804 14.321
Er 4.927 9.657 16.337
B 0.968 1.361 0.946
B 0.968 1.361 4.783
B 6.779 9.526 18.132
B 6.779 9.526 21.968
S 2.905 4.083 2.932
S 2.905 4.083 6.753
S 4.842 6.804 8.661
S 2.905 4.083 10.432
S 4.842 6.804 12.482
S 2.905 4.083 14.253
S 4.842 6.804 16.161
S 4.842 6.804 19.982
```

Top 6 peaks for 10 to 90 degrees two-theta, by intensity:
- 2θ 32.93, I 100
- 2θ 28.55, I 53
- 2θ 28.28, I 52
- 2θ 47.25, I 45
- 2θ 78.63, I 17
- 2θ 56.31, I 15


(4)
Diffraction record for Cs3IrBr7. The PXRD pattern is calculated, not measured: it uses a cell relaxed with GGA-PBE and λ = 1.5418 Å (Cu Kα).
Intensities are scaled so that the largest is 100.

Crystal structure
```
22
Lattice="10.675 0.000 0.000 0.000 10.675 0.000 0.000 0.000 7.600" Properties=species:S:1:pos:R:3 pbc="T T T"
Cs 0.000 0.000 0.000
Cs 1.888 3.449 3.800
Cs 3.449 8.787 3.800
Cs 5.338 5.338 0.000
Cs 7.226 1.888 3.800
Cs 8.787 7.226 3.800
Ir 0.000 5.338 0.000
Ir 5.338 0.000 0.000
Br 0.000 0.000 3.800
Br 1.245 6.582 1.767
Br 1.245 6.582 5.833
Br 1.774 3.564 0.000
Br 3.564 8.901 0.000
Br 4.093 1.245 1.767
Br 4.093 1.245 5.833
Br 5.338 5.338 3.800
Br 6.582 9.431 1.767
Br 6.582 9.431 5.833
Br 7.112 1.774 0.000
Br 8.901 7.112 0.000
Br 9.431 4.093 1.767
Br 9.431 4.093 5.833
```

Top 6 peaks for 10 to 90 degrees two-theta, by intensity:
- 2θ 30.06, I 100
- 2θ 11.71, I 65
- 2θ 23.57, I 49
- 2θ 20.33, I 47
- 2θ 26.39, I 42
- 2θ 33.46, I 39


(5)
Diffraction record for CaPm3Y4. The PXRD pattern is calculated, not measured: it uses a cell relaxed with GGA-PBE and λ = 1.5418 Å (Cu Kα).
Intensities are scaled so that the largest is 100.

Crystal structure
```
16
Lattice="24.049 0.000 0.000 0.000 3.460 0.000 -1.989 0.000 6.641" Properties=species:S:1:pos:R:3 pbc="T T T"
Ca 0.000 0.000 0.000
Ca 12.025 1.730 0.000
Pm -0.994 1.730 3.321
Pm 4.340 1.730 4.907
Pm 5.696 0.000 1.734
Pm 11.030 0.000 3.321
Pm 16.365 0.000 4.907
Pm 17.720 1.730 1.734
Y 2.276 0.000 2.565
Y 1.338 0.000 5.749
Y 8.698 1.730 0.893
Y 7.760 1.730 4.077
Y 14.300 1.730 2.565
Y 13.362 1.730 5.749
Y 20.723 0.000 0.893
Y 19.785 0.000 4.077
```

Top 6 peaks for 10 to 90 degrees two-theta, by intensity:
- 2θ 30.09, I 100
- 2θ 32.85, I 57
- 2θ 31.05, I 44
- 2θ 28.84, I 34
- 2θ 62.09, I 24
- 2θ 36.91, I 23


(6)
Diffraction record for Ti2NbIr2. The PXRD pattern is calculated, not measured: it uses a cell relaxed with GGA-PBE and λ = 1.5418 Å (Cu Kα).
Intensities are scaled so that the largest is 100.

Crystal structure
```
10
Lattice="7.474 0.000 0.000 0.000 7.474 0.000 0.000 0.000 2.876" Properties=species:S:1:pos:R:3 pbc="T T T"
Ti 1.119 2.618 0.000
Ti 2.618 6.354 0.000
Ti 4.856 1.119 0.000
Ti 6.354 4.856 0.000
Nb 0.000 0.000 0.000
Nb 3.737 3.737 0.000
Ir 1.123 4.860 1.438
Ir 2.613 1.123 1.438
Ir 4.860 6.350 1.438
Ir 6.350 2.613 1.438
```

Top 6 peaks for 10 to 90 degrees two-theta, by intensity:
- 2θ 41.42, I 100
- 2θ 38.08, I 62
- 2θ 26.67, I 56
- 2θ 76.16, I 25
- 2θ 35.54, I 21
- 2θ 77.74, I 16


(7)
Diffraction record for Sr4CeNd3Nb2Cu4O20. The PXRD pattern is calculated, not measured: it uses a cell relaxed with GGA-PBE and λ = 1.5418 Å (Cu Kα).
Intensities are scaled so that the largest is 100.

Crystal structure
```
34
Lattice="5.596 0.000 0.000 0.000 2.798 14.521 0.000 -2.798 14.521" Properties=species:S:1:pos:R:3 pbc="T T T"
Sr 0.000 0.000 0.000
Sr 0.000 0.000 4.723
Sr 2.798 0.000 14.462
Sr 2.798 0.000 19.247
Ce 2.798 0.000 10.821
Nd 0.000 0.000 8.322
Nd 0.000 0.000 25.438
Nd 2.798 0.000 22.844
Nb 0.000 0.000 16.851
Nb 2.798 0.000 2.330
Cu 0.000 0.000 12.715
Cu 0.000 0.000 20.988
Cu 2.798 0.000 6.465
Cu 2.798 0.000 27.235
O 0.000 0.000 14.856
O 0.000 0.000 18.837
O 1.396 -1.402 16.841
O 1.398 -1.398 21.130
O 1.396 1.402 16.841
O 1.398 1.398 21.130
O 1.415 -1.383 12.573
O 1.415 1.383 12.573
O 1.432 -1.366 9.648
O 1.432 1.366 9.648
O 2.798 0.000 0.335
O 2.798 0.000 4.317
O 4.164 -1.366 9.648
O 4.164 1.366 9.648
O 4.181 -1.383 12.573
O 4.181 1.383 12.573
O 4.200 -1.402 16.841
O 4.198 -1.398 21.130
O 4.200 1.402 16.841
O 4.198 1.398 21.130
```

Top 6 peaks for 10 to 90 degrees two-theta, by intensity:
- 2θ 31.24, I 100
- 2θ 31.99, I 42
- 2θ 56.54, I 37
- 2θ 45.87, I 31
- 2θ 24.30, I 17
- 2θ 55.11, I 14


(8)
Diffraction record for CeGe2Pd3. The PXRD pattern is calculated, not measured: it uses a cell relaxed with GGA-PBE and λ = 1.5418 Å (Cu Kα).
Intensities are scaled so that the largest is 100.

Crystal structure
```
18
Lattice="8.389 -2.048 0.000 8.389 2.048 0.000 -3.170 0.000 9.582" Properties=species:S:1:pos:R:3 pbc="T T T"
Ce 0.000 0.000 0.000
Ce 0.432 0.000 6.689
Ce 13.177 0.000 2.894
Ge 2.917 0.000 1.274
Ge 4.355 0.000 5.246
Ge 7.009 0.000 2.114
Ge 6.599 0.000 7.468
Ge 9.254 0.000 4.336
Ge 10.692 0.000 8.308
Pd -0.371 0.000 3.179
Pd 2.405 0.000 3.763
Pd 5.252 0.000 0.311
Pd 3.860 0.000 7.718
Pd 6.804 0.000 4.791
Pd 9.748 0.000 1.865
Pd 8.357 0.000 9.271
Pd 11.204 0.000 5.820
Pd 13.979 0.000 6.404
```

Top 6 peaks for 10 to 90 degrees two-theta, by intensity:
- 2θ 34.63, I 100
- 2θ 44.23, I 41
- 2θ 43.87, I 26
- 2θ 39.23, I 21
- 2θ 35.99, I 21
- 2θ 30.76, I 21


(9)
Diffraction record for CsIn12Sn4. The PXRD pattern is calculated, not measured: it uses a cell relaxed with GGA-PBE and λ = 1.5418 Å (Cu Kα).
Intensities are scaled so that the largest is 100.

Crystal structure
```
17
Lattice="-5.155 5.155 5.155 5.155 -5.155 5.155 5.155 5.155 -5.155" Properties=species:S:1:pos:R:3 pbc="T T T"
Cs 0.000 0.000 0.000
In 3.674 1.514 0.000
In 6.637 1.514 0.000
In 5.155 -1.482 3.641
In 3.641 5.155 -1.482
In 1.514 0.000 3.674
In 5.155 1.482 3.641
In 0.000 3.674 1.514
In 3.641 5.155 1.482
In 1.514 0.000 6.637
In 0.000 6.637 1.514
In -1.482 3.641 5.155
In 1.482 3.641 5.155
Sn 2.578 2.578 -2.578
Sn 2.578 -2.578 2.578
Sn -2.578 2.578 2.578
Sn 2.578 2.578 2.578
```

Top 6 peaks for 10 to 90 degrees two-theta, by intensity:
- 2θ 27.35, I 100
- 2θ 44.82, I 48
- 2θ 39.07, I 35
- 2θ 32.49, I 35
- 2θ 42.97, I 32
- 2θ 80.06, I 18


(10)
Diffraction record for Ho6CoPd2. The PXRD pattern is calculated, not measured: it uses a cell relaxed with GGA-PBE and λ = 1.5418 Å (Cu Kα).
Intensities are scaled so that the largest is 100.

Crystal structure
```
18
Lattice="6.486 0.000 0.000 0.000 7.271 0.000 -6.402 0.000 9.738" Properties=species:S:1:pos:R:3 pbc="T T T"
Ho -0.894 0.244 2.430
Ho -4.095 3.392 7.299
Ho 1.072 4.935 0.628
Ho -2.129 5.971 5.497
Ho 2.136 1.330 0.612
Ho -1.065 2.305 5.481
Ho 1.148 4.966 4.257
Ho -2.053 5.941 9.125
Ho 2.212 1.300 4.241
Ho -0.989 2.336 9.110
Ho 4.179 3.879 2.439
Ho 0.978 7.027 7.308
Co 0.042 0.000 4.869
Co 3.243 3.636 0.000
Pd -2.817 0.831 7.319
Pd 0.384 2.804 2.450
Pd -0.300 4.467 7.288
Pd 2.901 6.440 2.419
```

Top 6 peaks for 10 to 90 degrees two-theta, by intensity:
- 2θ 30.69, I 100
- 2θ 31.65, I 51
- 2θ 29.64, I 49
- 2θ 30.18, I 41
- 2θ 37.13, I 36
- 2θ 39.70, I 35


> Number 7 is which compound?

Sr4CeNd3Nb2Cu4O20